Entry 1:
Starting from a crystal structure in Alexandria, relaxed with PBE, the powder X-ray diffraction pattern of RbLi4Pm3I12 was computed for Cu Ka.

Crystal structure
```
RbLi4Pm3I12
1.0
8.4610 4.8850 3.5875
-8.4610 4.8850 3.5875
0.0000 -9.7699 3.5875
Rb Li Pm I
1 4 3 12
Cartesian
0.0000 0.0000 0.0000
-3.4685 -6.0076 5.3813
0.0000 0.0000 5.3813
-3.4685 6.0076 5.3813
6.9369 0.0000 5.3813
-4.9228 -1.2434 3.5875
-4.9228 1.2434 7.1751
1.3845 4.8850 3.5875
-5.0902 -3.8470 5.3593
-7.2035 0.0000 5.3813
-0.7865 -6.3317 5.4033
-5.0902 3.8470 5.4033
-2.6529 0.0000 5.3813
3.6017 -6.2384 5.3813
1.3265 -2.2975 5.3813
1.3265 2.2975 5.3813
-0.7865 6.3317 5.3593
5.8767 -2.4847 5.3593
3.6017 6.2384 5.3813
5.8767 2.4847 5.4033
```

Top 10 peaks for 10 to 90 degrees two-theta, most intense first:
- 2θ = 27.5°, intensity 100.0
- 2θ = 10.5°, intensity 45.3
- 2θ = 40.2°, intensity 36.1
- 2θ = 23.4°, intensity 32.3
- 2θ = 42.7°, intensity 26.9
- 2θ = 18.0°, intensity 25.5
- 2θ = 34.9°, intensity 20.7
- 2θ = 46.5°, intensity 20.1
- 2θ = 38.3°, intensity 16.7
- 2θ = 20.5°, intensity 14.8

---

Entry 2:
Starting from a crystal structure in Alexandria, relaxed with PBE, the powder X-ray diffraction pattern of LiPrI5 was computed for Cu Ka.

Crystal structure
```
LiPrI5
1.0
6.8478 -5.0179 0.0000
6.8478 5.0179 0.0000
-5.1045 0.0000 8.9141
Li Pr I
2 2 10
Cartesian
0.0000 0.0000 0.0000
-2.5522 0.0000 4.4570
3.0195 0.7067 6.6856
5.5717 -0.7067 2.2285
3.0195 3.9971 6.6856
0.2691 0.1273 5.3392
2.8213 -0.1273 0.8822
4.4152 1.8389 3.9214
6.7282 1.8389 0.5356
1.8630 -1.8389 8.3785
4.1759 -1.8389 4.9926
5.7698 0.1273 8.0319
8.3221 -0.1273 3.5748
5.5717 -3.9971 2.2285
```

Top 10 peaks for 10 to 90 degrees two-theta, most intense first:
- 2θ = 23.2°, intensity 100.0
- 2θ = 30.1°, intensity 85.8
- 2θ = 32.0°, intensity 78.8
- 2θ = 28.5°, intensity 71.6
- 2θ = 14.9°, intensity 59.7
- 2θ = 25.3°, intensity 47.6
- 2θ = 28.2°, intensity 43.4
- 2θ = 11.5°, intensity 35.2
- 2θ = 42.7°, intensity 34.6
- 2θ = 19.6°, intensity 32.5

---

Entry 3:
Starting from a crystal structure in Alexandria, relaxed with PBE, the powder X-ray diffraction pattern of Li2Pr2I7 was computed for Cu Ka.

Crystal structure
```
Li2Pr2I7
1.0
4.0490 -6.5585 0.0000
4.0490 6.5585 0.0000
-3.1578 0.0000 11.5125
Li Pr I
2 2 7
Cartesian
0.8169 0.0000 2.4467
4.1234 0.0000 9.0658
2.4701 1.9679 5.7562
2.4701 -1.9679 5.7562
0.0000 0.0000 0.0000
1.0520 4.3193 7.5115
3.8883 4.3193 4.0010
1.4475 0.0000 8.0347
3.4928 0.0000 3.4778
1.0520 -4.3193 7.5115
3.8883 -4.3193 4.0010
```

Top 10 peaks for 10 to 90 degrees two-theta, most intense first:
- 2θ = 26.3°, intensity 100.0
- 2θ = 30.9°, intensity 53.8
- 2θ = 13.7°, intensity 45.7
- 2θ = 39.8°, intensity 36.0
- 2θ = 26.0°, intensity 30.4
- 2θ = 22.8°, intensity 27.6
- 2θ = 15.5°, intensity 26.1
- 2θ = 25.5°, intensity 22.1
- 2θ = 41.7°, intensity 21.5
- 2θ = 35.3°, intensity 20.3

---

Entry 4:
Starting from a crystal structure in Alexandria, relaxed with PBE, the powder X-ray diffraction pattern of LiPrI was computed for Cu Ka.

Crystal structure
```
LiPrI
1.0
6.3674 0.0000 0.0000
0.0000 3.9960 0.0000
-2.2190 0.0000 7.0566
Li Pr I
2 2 2
Cartesian
0.2147 0.9990 3.0631
3.9337 2.9970 3.9935
-0.9120 0.9990 6.2378
5.0604 2.9970 0.8188
1.9289 2.9970 1.6962
2.2195 0.9990 5.3604
```

Top 10 peaks for 10 to 90 degrees two-theta, most intense first:
- 2θ = 25.6°, intensity 100.0
- 2θ = 12.5°, intensity 63.7
- 2θ = 28.3°, intensity 51.9
- 2θ = 37.2°, intensity 50.1
- 2θ = 33.8°, intensity 26.3
- 2θ = 33.0°, intensity 26.2
- 2θ = 33.9°, intensity 26.0
- 2θ = 45.4°, intensity 21.6
- 2θ = 31.5°, intensity 20.7
- 2θ = 39.8°, intensity 19.8

---

Entry 5:
Starting from a crystal structure in Alexandria, relaxed with PBE, the powder X-ray diffraction pattern of Li3Pu2I9 was computed for Cu Ka.

Crystal structure
```
Li3Pu2I9
1.0
7.9880 0.0000 0.0000
-3.9940 6.9178 0.0000
0.0000 0.0000 23.0001
Li Pu I
6 4 18
Cartesian
-1.3373 2.3163 5.7500
-2.6567 4.6015 17.2501
2.6746 0.0000 5.7500
1.3373 2.3163 17.2501
5.3134 0.0000 17.2501
2.6567 4.6015 5.7500
0.0000 4.6119 0.0000
0.0000 4.6119 11.5000
3.9940 2.3059 0.0000
3.9940 2.3059 11.5000
-1.3250 2.2950 17.2501
-1.4433 2.4998 1.7580
-1.4433 2.4998 9.7421
-2.5507 4.4180 13.2580
-2.5507 4.4180 21.2421
-2.6690 4.6228 5.7500
2.6500 0.0000 17.2501
1.3250 2.2950 5.7500
2.8865 0.0000 1.7580
2.8865 0.0000 9.7421
1.4433 2.4998 13.2580
1.4433 2.4998 21.2421
5.1015 0.0000 13.2580
5.1015 0.0000 21.2421
2.5507 4.4180 1.7580
2.5507 4.4180 9.7421
5.3380 0.0000 5.7500
2.6690 4.6228 17.2501
```

Top 10 peaks for 10 to 90 degrees two-theta, most intense first:
- 2θ = 25.1°, intensity 100.0
- 2θ = 32.4°, intensity 60.6
- 2θ = 39.1°, intensity 41.9
- 2θ = 14.9°, intensity 28.3
- 2θ = 23.6°, intensity 26.4
- 2θ = 12.8°, intensity 23.9
- 2θ = 42.0°, intensity 22.9
- 2θ = 15.4°, intensity 20.9
- 2θ = 63.1°, intensity 19.3
- 2θ = 47.0°, intensity 18.6

---

Entry 6:
Starting from a crystal structure in Alexandria, relaxed with PBE, the powder X-ray diffraction pattern of Li2PuI4 was computed for Cu Ka.

Crystal structure
```
Li2PuI4
1.0
9.0251 0.0000 0.0000
0.0000 9.0251 0.0000
0.0000 0.0000 12.4787
Li Pu I
8 4 16
Cartesian
0.0000 2.0390 0.0000
0.0000 6.9861 6.2394
2.0390 0.0000 9.3591
2.1661 2.1661 4.6795
2.1661 6.8590 1.5598
6.8590 2.1661 7.7992
6.8590 6.8590 10.9189
6.9861 0.0000 3.1197
2.2668 4.5126 9.3591
4.5126 2.2668 0.0000
4.5126 6.7583 6.2394
6.7583 4.5126 3.1197
0.0629 2.1691 9.4772
0.0629 6.8560 9.2409
2.1691 0.0629 12.3606
2.1694 4.4488 0.0757
2.1694 4.5763 6.1636
2.1691 8.9623 6.3575
4.4488 2.1694 9.2833
4.4488 6.8557 9.4348
4.5763 2.1694 3.1954
4.5763 6.8557 3.0440
6.8560 0.0629 0.1181
6.8557 4.4488 12.4030
6.8557 4.5763 6.3151
6.8560 8.9623 6.1212
8.9623 2.1691 3.0016
8.9623 6.8560 3.2378
```

Top 10 peaks for 10 to 90 degrees two-theta, most intense first:
- 2θ = 28.0°, intensity 100.0
- 2θ = 40.4°, intensity 74.3
- 2θ = 28.6°, intensity 46.6
- 2θ = 12.1°, intensity 42.2
- 2θ = 40.0°, intensity 38.8
- 2θ = 49.9°, intensity 38.8
- 2θ = 24.3°, intensity 36.9
- 2θ = 15.6°, intensity 29.4
- 2θ = 72.9°, intensity 24.7
- 2θ = 25.6°, intensity 20.9